Record 1
# BaWO4
Theoretical X-ray powder pattern, Cu Kα, 1.54184 Å. Input: a structure optimized by DFT (GGA+U).

Main lines, sorted by position (2θ = 10–80°):
2θ = 23.74°, I = 41
2θ = 27.32°, I = 100
2θ = 28.00°, I = 60
2θ = 29.52°, I = 39
2θ = 32.20°, I = 61
2θ = 38.23°, I = 28
2θ = 51.02°, I = 36
2θ = 54.03°, I = 35

Cell and atoms:
a b c (Å): 7.7597 7.7597 6.0521
angles (deg): 90.00 90.00 150.02
Element x y z (fractional)
Ba 0.1519 0.8481 0.7500
Ba 0.8481 0.1519 0.2500
W 0.4096 0.5904 0.7500
W 0.5904 0.4096 0.2500
O 0.0795 0.9205 0.2500
O 0.3224 0.6776 0.5338
O 0.3224 0.6776 0.9662
O 0.5000 0.5000 0.0000
O 0.5000 0.5000 0.5000
O 0.6776 0.3224 0.0338
O 0.6776 0.3224 0.4662
O 0.9205 0.0795 0.7500


Record 2
# BaWO4
Theoretical X-ray powder pattern, Cu Kα, 1.54184 Å. Input: a structure optimized by DFT (GGA+U).

Main lines, sorted by position (2θ = 10–80°):
2θ = 25.94°, I = 100
2θ = 27.71°, I = 17
2θ = 31.14°, I = 24
2θ = 42.17°, I = 28
2θ = 47.95°, I = 18
2θ = 52.34°, I = 27
2θ = 53.34°, I = 13
2θ = 67.57°, I = 14

Cell and atoms:
a b c (Å): 7.6118 7.6118 7.6118
angles (deg): 135.67 135.67 64.49
Element x y z (fractional)
Ba 0.3750 0.1250 0.2500
Ba 0.6250 0.8750 0.7500
W 0.1250 0.3750 0.7500
W 0.8750 0.6250 0.2500
O 0.0777 0.6855 0.8557
O 0.1855 0.8298 0.6078
O 0.2780 0.4223 0.1078
O 0.3298 0.2220 0.6443
O 0.6702 0.7780 0.3557
O 0.7220 0.5777 0.8922
O 0.8145 0.1702 0.3922
O 0.9223 0.3145 0.1443


Record 3
# BaW6O19
Theoretical X-ray powder pattern, Cu Kα, 1.54184 Å. Input: a structure optimized by DFT (GGA+U).

Main lines, sorted by position (2θ = 10–80°):
2θ = 13.58°, I = 45
2θ = 22.70°, I = 66
2θ = 26.55°, I = 39
2θ = 27.28°, I = 52
2θ = 27.38°, I = 100
2θ = 35.83°, I = 71
2θ = 48.28°, I = 26
2θ = 54.67°, I = 30

Cell and atoms:
a b c (Å): 7.5407 7.5407 7.8330
angles (deg): 90.02 90.02 120.25
Element x y z (fractional)
Ba 0.0000 0.0000 0.0000
W 0.0093 0.5086 0.1653
W 0.0094 0.5104 0.6612
W 0.5086 0.0093 0.1653
W 0.5089 0.5089 0.1600
W 0.5086 0.5086 0.6448
W 0.5104 0.0094 0.6612
O 0.0075 0.5109 0.9095
O 0.0108 0.5087 0.4085
O 0.2104 0.4227 0.1619
O 0.2183 0.7995 0.1549
O 0.2214 0.4389 0.6512
O 0.2205 0.7996 0.6638
O 0.4131 0.4131 0.9041
O 0.4227 0.2104 0.1619
O 0.4389 0.2214 0.6512
O 0.5060 0.5060 0.4105
O 0.5087 0.0108 0.4085
O 0.5109 0.0075 0.9095
O 0.5821 0.7984 0.6466
O 0.5946 0.8068 0.1653
O 0.6136 0.6136 0.9025
O 0.7984 0.5821 0.6466
O 0.7995 0.2183 0.1549
O 0.7996 0.2205 0.6638
O 0.8068 0.5946 0.1653